1.
# Co10B3Mo
Calculated powder diffraction line list, Cu Kα. Input: a structure optimized by DFT (PBE).

Main lines, in order of falling intensity (15 to 90 degrees two-theta):
| 2θ (°) | Rel. int. |
| --- | --- |
| 45.2 | 100.0 |
| 38.7 | 63.3 |
| 51.9 | 45.5 |
| 42.5 | 37.5 |
| 77.8 | 27.1 |
| 49.5 | 26.4 |
| 58.8 | 18.6 |
| 75.2 | 17.0 |

Structure:
Unit cell a=7.366 b=7.366 c=7.366 alpha=60.00 beta=60.00 gamma=60.00
Positions (direct):
1 Co 0.000 0.000 0.338
2 Co 0.000 0.000 0.662
3 Co 0.000 0.338 0.000
4 Co 0.000 0.338 0.662
5 Co 0.000 0.662 0.000
6 Co 0.000 0.662 0.338
7 Co 0.146 0.618 0.618
8 Co 0.338 0.000 0.000
9 Co 0.338 0.000 0.662
10 Co 0.338 0.662 0.000
11 Co 0.382 0.382 0.382
12 Co 0.382 0.382 0.854
13 Co 0.382 0.854 0.382
14 Co 0.618 0.146 0.618
15 Co 0.618 0.618 0.146
16 Co 0.618 0.618 0.618
17 Co 0.662 0.000 0.000
18 Co 0.662 0.000 0.338
19 Co 0.662 0.338 0.000
20 Co 0.854 0.382 0.382
21 B 0.274 0.274 0.726
22 B 0.274 0.726 0.274
23 B 0.274 0.726 0.726
24 B 0.726 0.274 0.274
25 B 0.726 0.274 0.726
26 B 0.726 0.726 0.274
27 Mo 0.250 0.250 0.250
28 Mo 0.750 0.750 0.750

***

2.
# Nb2CoB2
Calculated powder diffraction line list, Cu Kα. Input: a structure optimized by DFT (PBE).

Main lines, in order of falling intensity (15 to 90 degrees two-theta):
| 2θ (°) | Rel. int. |
| --- | --- |
| 41.8 | 100.0 |
| 41.6 | 36.0 |
| 38.4 | 34.4 |
| 33.5 | 26.9 |
| 49.5 | 25.0 |
| 30.0 | 21.6 |
| 71.8 | 16.4 |
| 83.0 | 15.8 |

Structure:
Unit cell a=4.654 b=4.654 c=4.654 alpha=139.00 beta=119.58 gamma=75.62
Positions (direct):
1 Nb 0.207 0.207 0.000
2 Nb 0.793 0.793 0.000
3 Co 0.500 0.000 0.500
4 B 0.202 0.500 0.702
5 B 0.798 0.500 0.298

***

3.
# Nb2Co3B6
Calculated powder diffraction line list, Cu Kα. Input: a structure optimized by DFT (PBE).

Main lines, in order of falling intensity (15 to 90 degrees two-theta):
| 2θ (°) | Rel. int. |
| --- | --- |
| 42.7 | 100.0 |
| 32.3 | 40.6 |
| 27.3 | 24.4 |
| 43.4 | 18.9 |
| 49.0 | 16.1 |
| 34.4 | 13.3 |
| 56.3 | 13.1 |
| 52.0 | 10.0 |

Structure:
Unit cell a=5.587 b=5.587 c=3.269 alpha=90.00 beta=90.00 gamma=96.65
Positions (direct):
1 Nb 0.226 0.774 0.000
2 Nb 0.774 0.226 0.000
3 Co 0.268 0.268 0.000
4 Co 0.500 0.500 0.500
5 Co 0.732 0.732 0.000
6 B 0.110 0.110 0.500
7 B 0.126 0.429 0.500
8 B 0.429 0.126 0.500
9 B 0.571 0.874 0.500
10 B 0.874 0.571 0.500
11 B 0.890 0.890 0.500

***

4.
# NdCoB4
Calculated powder diffraction line list, Cu Kα. Input: a structure optimized by DFT (PBE).

Main lines, in order of falling intensity (15 to 90 degrees two-theta):
| 2θ (°) | Rel. int. |
| --- | --- |
| 40.4 | 100.0 |
| 25.6 | 49.3 |
| 30.7 | 45.4 |
| 30.8 | 39.1 |
| 62.1 | 22.6 |
| 35.4 | 19.0 |
| 24.1 | 18.3 |
| 46.1 | 17.5 |

Structure:
Unit cell a=6.008 b=6.008 c=3.485 alpha=90.00 beta=90.00 gamma=104.09
Positions (direct):
1 Nd 0.199 0.801 0.000
2 Nd 0.801 0.199 0.000
3 Co 0.323 0.323 0.000
4 Co 0.677 0.677 0.000
5 B 0.127 0.432 0.500
6 B 0.134 0.134 0.500
7 B 0.412 0.588 0.500
8 B 0.432 0.127 0.500
9 B 0.568 0.873 0.500
10 B 0.588 0.412 0.500
11 B 0.866 0.866 0.500
12 B 0.873 0.568 0.500

***

5.
# Nd5Co19B6
Calculated powder diffraction line list, Cu Kα. Input: a structure optimized by DFT (PBE).

Main lines, in order of falling intensity (15 to 90 degrees two-theta):
| 2θ (°) | Rel. int. |
| --- | --- |
| 44.8 | 100.0 |
| 33.8 | 95.9 |
| 40.8 | 94.0 |
| 62.2 | 33.8 |
| 35.1 | 31.5 |
| 69.8 | 25.3 |
| 74.2 | 24.3 |
| 20.1 | 15.8 |

Structure:
Unit cell a=5.111 b=5.111 c=16.566 alpha=90.00 beta=90.00 gamma=120.00
Positions (direct):
1 Nd 0.000 0.000 0.000
2 Nd 0.000 0.000 0.205
3 Nd 0.000 0.000 0.406
4 Nd 0.000 0.000 0.594
5 Nd 0.000 0.000 0.795
6 Co 0.000 0.500 0.087
7 Co 0.000 0.500 0.326
8 Co 0.000 0.500 0.500
9 Co 0.000 0.500 0.674
10 Co 0.000 0.500 0.913
11 Co 0.333 0.667 0.206
12 Co 0.333 0.667 0.794
13 Co 0.500 0.000 0.087
14 Co 0.500 0.000 0.326
15 Co 0.500 0.000 0.500
16 Co 0.500 0.000 0.674
17 Co 0.500 0.000 0.913
18 Co 0.500 0.500 0.087
19 Co 0.500 0.500 0.326
20 Co 0.500 0.500 0.500
21 Co 0.500 0.500 0.674
22 Co 0.500 0.500 0.913
23 Co 0.667 0.333 0.206
24 Co 0.667 0.333 0.794
25 B 0.333 0.667 0.000
26 B 0.333 0.667 0.412
27 B 0.333 0.667 0.588
28 B 0.667 0.333 0.000
29 B 0.667 0.333 0.412
30 B 0.667 0.333 0.588